Theoretical powder XRD pattern of Pm4OsI2Br for CuKα, from the GGA-PBE geometry in Alexandria.
No peak broadening, texture or thermal motion is included.

Cell and atoms:
Unit cell a=7.8973 b=4.1833 c=8.2287 alpha=90.00 beta=106.55 gamma=90.00
Space group P2/m (No. 10)
Inequivalent atoms, fractional coordinates:
Pm (0.1931, 0.0000, 0.1891) (multiplicity 2)
Pm (0.2258, 0.5000, 0.8021) (multiplicity 2)
Os (0.0000, 0.5000, 0.0000) (multiplicity 1)
I (0.0000, 0.0000, 0.5000) (multiplicity 1)
I (0.5000, 0.5000, 0.5000) (multiplicity 1)
Br (0.5000, 0.0000, 0.0000) (multiplicity 1)

Main lines, by intensity (15 to 90 degrees two-theta):
- (1 1 1), 2θ = 28.3°, rel. 1000
- (2 0 -2), 2θ = 27.6°, rel. 485
- (3 1 -1), 2θ = 40.5°, rel. 338
- (1 1 -3), 2θ = 39.3°, rel. 283
- (0 2 0), 2θ = 43.3°, rel. 221
- (2 2 -2), 2θ = 52.1°, rel. 178
- (2 0 2), 2θ = 37.3°, rel. 153
- (2 2 2), 2θ = 58.4°, rel. 104

---

Theoretical powder XRD pattern of Pm7Dy2Th2 for CuKα, from the GGA-PBE geometry in Alexandria.
No peak broadening, texture or thermal motion is included.

Cell and atoms:
Unit cell a=11.5727 b=11.5403 c=6.0607 alpha=90.00 beta=112.52 gamma=90.00
Space group C2/m (No. 12)
Inequivalent atoms, fractional coordinates:
Pm (0.0000, 0.0000, 0.0000) (multiplicity 2)
Pm (0.0729, 0.5000, 0.7982) (multiplicity 4)
Pm (0.1815, 0.2273, 0.1744) (multiplicity 8)
Dy (0.2258, 0.0000, 0.5976) (multiplicity 4)
Th (0.0000, 0.2137, 0.5000) (multiplicity 4)

Main lines, by intensity (15 to 90 degrees two-theta):
- (2 2 1), 2θ = 31.3°, rel. 1000
- (0 4 0), 2θ = 31.0°, rel. 715
- (3 3 -1), 2θ = 33.5°, rel. 453
- (2 2 -2), 2θ = 33.7°, rel. 359
- (1 1 -2), 2θ = 30.7°, rel. 298
- (1 5 -2), 2θ = 49.8°, rel. 179
- (4 4 -1), 2θ = 44.5°, rel. 178
- (3 1 -1), 2θ = 25.2°, rel. 174